Entry 1:
Computed powder XRD pattern
Compound: Tl2InAs
Radiation: Cu Kα
Structure: a PBE-relaxed structure
Intensities are scaled so that the largest is 1000.

Cell and atoms:
```
4
Lattice="2.128 1.229 7.622 -2.128 1.229 7.622 0.000 -2.458 7.622" Properties=species:S:1:pos:R:3 pbc="T T T"
Tl 0.000 0.000 0.000
Tl 0.000 0.000 5.273
In 0.000 0.000 17.410
As 0.000 0.000 11.075
```

Largest 10 diffraction maxima, in order of falling intensity, 2θ = 15–90°:
28.8 deg, rel. 1000
42.5 deg, rel. 387
39.9 deg, rel. 314
31.2 deg, rel. 228
52.1 deg, rel. 194
69.4 deg, rel. 165
56.4 deg, rel. 157
24.5 deg, rel. 146
35.3 deg, rel. 98
58.1 deg, rel. 98



Entry 2:
Computed powder XRD pattern
Compound: ZnInAs2
Radiation: Cu Kα
Structure: a PBE-relaxed structure
Intensities are scaled so that the largest is 1000.

Cell and atoms:
```
4
Lattice="1.874 -2.390 0.000 1.874 2.390 0.000 0.000 0.000 9.301" Properties=species:S:1:pos:R:3 pbc="T T T"
Zn 0.000 0.000 0.000
In 0.000 0.000 4.650
As 1.874 0.000 1.924
As 1.874 0.000 7.377
```

Largest 10 diffraction maxima, in order of falling intensity, 2θ = 15–90°:
36.1 deg, rel. 1000
37.6 deg, rel. 254
66.9 deg, rel. 156
38.7 deg, rel. 135
48.6 deg, rel. 120
28.8 deg, rel. 110
63.0 deg, rel. 107
31.8 deg, rel. 102
55.1 deg, rel. 94
58.7 deg, rel. 89